Record 1
This entry pairs a crystal structure of Y10Cd3Pd with its simulated X-ray powder pattern. Radiation: a wavelength of 1.5418 Å. Structure: the GGA-PBE geometry in Alexandria.
Lines closer than 0.1° are merged.

Structural model:
Unit cell a=9.7454 b=9.7454 c=9.8066 alpha=90.00 beta=90.00 gamma=120.00
Space group P6_3/mmc (No. 194)
One atom of each set of equivalent atoms:
Y (0.0000, 0.0000, 0.0000) (multiplicity 2)
Y (0.0872, 0.5436, 0.2500) (multiplicity 6)
Y (0.2078, 0.4156, 0.5581) (multiplicity 12)
Cd (0.1154, 0.2309, 0.2500) (multiplicity 6)
Pd (0.3333, 0.6667, 0.7500) (multiplicity 2)

Main lines, in order of rising 2θ (5 to 70 degrees two-theta):
h k l	2θ (°)	I_rel
1 0 3	29.30	16
3 0 1	33.13	73
2 1 2	33.51	100
2 0 3	34.71	48
0 0 4	36.66	15
2 2 0	36.89	16
3 2 3	55.13	15
3 3 0	56.67	24
3 0 5	57.26	28
5 0 2	57.77	19



Record 2
This entry pairs a crystal structure of Y3Cd2Pd3 with its simulated X-ray powder pattern. Radiation: a wavelength of 1.5418 Å. Structure: the GGA-PBE geometry in Alexandria.
Lines closer than 0.1° are merged.

Structural model:
Unit cell a=8.4653 b=8.4653 c=5.7846 alpha=90.00 beta=90.00 gamma=120.00
Space group P6_3/mcm (No. 193)
One atom of each set of equivalent atoms:
Y (0.0000, 0.2716, 0.2500) (multiplicity 6)
Cd (0.3333, 0.6667, 0.0000) (multiplicity 4)
Pd (0.0000, 0.3864, 0.7500) (multiplicity 6)

Main lines, in order of rising 2θ (5 to 70 degrees two-theta):
h k l	2θ (°)	I_rel
1 0 0	12.07	35
0 0 2	30.92	16
2 1 0	32.31	22
2 1 1	35.94	72
3 0 0	36.78	85
1 1 2	37.67	100
3 1 1	47.39	23
2 2 2	53.66	23
2 1 3	58.30	17
4 1 2	66.84	22



Record 3
This entry pairs a crystal structure of Y6CdPd with its simulated X-ray powder pattern. Radiation: a wavelength of 1.5418 Å. Structure: the GGA-PBE geometry in Alexandria.
Lines closer than 0.1° are merged.

Structural model:
Unit cell a=7.0369 b=7.0407 c=7.3077 alpha=90.14 beta=118.64 gamma=119.88
Space group P-1 (No. 2)
One atom of each set of equivalent atoms:
Y (0.0282, 0.0704, 0.2522) (multiplicity 2)
Y (0.2936, 0.7234, 0.2518) (multiplicity 2)
Y (0.3163, 0.5407, 0.7480) (multiplicity 2)
Cd (0.5000, 0.0000, 0.0000) (multiplicity 1)
Pd (0.5000, 0.5000, 0.5000) (multiplicity 1)

Main lines, in order of rising 2θ (5 to 70 degrees two-theta):
h k l	2θ (°)	I_rel
-1 1 1	17.49	30
1 0 -2	24.36	37
2 -1 0	29.29	100
-2 1 2	29.37	29
2 0 -2	30.92	27
1 1 1	39.12	52
2 1 -1	40.32	12
-3 3 1	44.57	43
2 -1 2	52.01	15
2 -4 1	54.20	12



Record 4
This entry pairs a crystal structure of YCd3Pd6 with its simulated X-ray powder pattern. Radiation: a wavelength of 1.5418 Å. Structure: the GGA-PBE geometry in Alexandria.
Lines closer than 0.1° are merged.

Structural model:
Unit cell a=8.7967 b=4.2909 c=9.4446 alpha=90.00 beta=95.46 gamma=90.00
Space group P2_1/m (No. 11)
One atom of each set of equivalent atoms:
Y (0.0635, 0.2500, 0.3751) (multiplicity 2)
Cd (0.2478, 0.2500, 0.0150) (multiplicity 2)
Cd (0.3441, 0.7500, 0.8080) (multiplicity 2)
Cd (0.4481, 0.2500, 0.6026) (multiplicity 2)
Pd (0.0544, 0.7500, 0.9124) (multiplicity 2)
Pd (0.1514, 0.2500, 0.7063) (multiplicity 2)
Pd (0.1552, 0.7500, 0.2063) (multiplicity 2)
Pd (0.2542, 0.7500, 0.5068) (multiplicity 2)
Pd (0.3663, 0.2500, 0.3012) (multiplicity 2)
Pd (0.4544, 0.7500, 0.1002) (multiplicity 2)

Main lines, in order of rising 2θ (5 to 70 degrees two-theta):
h k l	2θ (°)	I_rel
0 0 1	9.41	1
1 0 0	10.10	1
3 1 -1	37.75	100
2 0 -4	41.86	18
0 2 0	42.12	19
2 1 3	42.61	1
4 0 2	47.45	13
2 2 -4	60.88	11
6 0 -2	65.10	9
4 2 2	65.29	10



Record 5
This entry pairs a crystal structure of Zn6CdPd5 with its simulated X-ray powder pattern. Radiation: a wavelength of 1.5418 Å. Structure: the GGA-PBE geometry in Alexandria.
Lines closer than 0.1° are merged.

Structural model:
Unit cell a=4.4559 b=6.0115 c=6.9681 alpha=90.00 beta=105.46 gamma=90.00
Space group P2/m (No. 10)
One atom of each set of equivalent atoms:
Zn (0.0000, 0.2341, 0.0000) (multiplicity 2)
Zn (0.3226, 0.2460, 0.6503) (multiplicity 4)
Cd (0.5000, 0.5000, 0.0000) (multiplicity 1)
Pd (0.1633, 0.5000, 0.3198) (multiplicity 2)
Pd (0.1666, 0.0000, 0.3276) (multiplicity 2)
Pd (0.5000, 0.0000, 0.0000) (multiplicity 1)

Main lines, in order of rising 2θ (5 to 70 degrees two-theta):
h k l	2θ (°)	I_rel
1 0 1	27.47	7
1 0 -2	29.06	6
0 2 0	29.72	6
0 0 3	40.29	52
2 0 -1	40.55	52
1 2 1	40.92	100
1 2 -2	42.05	92
2 0 2	56.71	18
2 0 -4	60.24	15
0 4 0	61.72	14



Record 6
This entry pairs a crystal structure of Zn3CdPd4 with its simulated X-ray powder pattern. Radiation: a wavelength of 1.5418 Å. Structure: the GGA-PBE geometry in Alexandria.
Lines closer than 0.1° are merged.

Structural model:
Unit cell a=4.4070 b=4.4070 c=21.8013 alpha=90.00 beta=90.00 gamma=120.00
Space group R-3m (No. 166, hexagonal axes)
One atom of each set of equivalent atoms:
Zn (0.0000, 0.0000, 0.0000) (multiplicity 3)
Zn (0.0000, 0.0000, 0.2496) (multiplicity 6)
Cd (0.0000, 0.0000, 0.5000) (multiplicity 3)
Pd (0.0000, 0.0000, 0.1188) (multiplicity 6)
Pd (0.0000, 0.0000, 0.3712) (multiplicity 6)

Main lines, in order of rising 2θ (5 to 70 degrees two-theta):
h k l	2θ (°)	I_rel
0 1 2	24.72	2
1 0 4	28.55	5
0 1 5	31.14	3
1 0 7	37.26	3
0 1 8	40.68	98
1 1 0	40.96	100
0 2 4	50.69	1
2 0 8	59.10	32
1 0 13	60.28	1
2 1 4	67.12	1



Record 7
This entry pairs a crystal structure of Zn5CdPd4 with its simulated X-ray powder pattern. Radiation: a wavelength of 1.5418 Å. Structure: the GGA-PBE geometry in Alexandria.
Lines closer than 0.1° are merged.

Structural model:
Unit cell a=3.1183 b=3.1183 c=15.6590 alpha=90.00 beta=90.00 gamma=90.00
Space group P4/mmm (No. 123)
One atom of each set of equivalent atoms:
Zn (0.0000, 0.0000, 0.0000) (multiplicity 1)
Zn (0.0000, 0.0000, 0.1903) (multiplicity 2)
Zn (0.0000, 0.0000, 0.3795) (multiplicity 2)
Cd (0.5000, 0.5000, 0.5000) (multiplicity 1)
Pd (0.5000, 0.5000, 0.0949) (multiplicity 2)
Pd (0.5000, 0.5000, 0.2866) (multiplicity 2)

Main lines, in order of rising 2θ (5 to 70 degrees two-theta):
h k l	2θ (°)	I_rel
0 0 1	5.64	3
0 0 5	28.50	2
1 0 0	28.63	4
1 0 4	36.85	3
1 1 0	40.87	100
1 0 6	45.31	4
1 1 5	50.63	2
0 0 10	58.99	3
2 0 0	59.27	12
2 0 5	67.08	2



Record 8
This entry pairs a crystal structure of ZnCdPd14 with its simulated X-ray powder pattern. Radiation: a wavelength of 1.5418 Å. Structure: the GGA-PBE geometry in Alexandria.
Lines closer than 0.1° are merged.

Structural model:
Unit cell a=5.6095 b=5.6095 c=7.8961 alpha=90.00 beta=90.00 gamma=90.00
Space group P4/mmm (No. 123)
One atom of each set of equivalent atoms:
Zn (0.0000, 0.0000, 0.0000) (multiplicity 1)
Cd (0.5000, 0.5000, 0.0000) (multiplicity 1)
Pd (0.0000, 0.0000, 0.5000) (multiplicity 1)
Pd (0.0000, 0.5000, 0.0000) (multiplicity 2)
Pd (0.0000, 0.5000, 0.5000) (multiplicity 2)
Pd (0.2467, 0.2467, 0.2492) (multiplicity 8)
Pd (0.5000, 0.5000, 0.5000) (multiplicity 1)

Main lines, in order of rising 2θ (5 to 70 degrees two-theta):
h k l	2θ (°)	I_rel
2 0 2	39.41	100
2 2 0	45.75	32
0 0 4	45.98	16
4 0 0	66.70	10
2 2 4	66.87	20



Record 9
This entry pairs a crystal structure of ZrCd3Pd6 with its simulated X-ray powder pattern. Radiation: a wavelength of 1.5418 Å. Structure: the GGA-PBE geometry in Alexandria.
Lines closer than 0.1° are merged.

Structural model:
Unit cell a=8.7845 b=4.2025 c=9.3656 alpha=90.00 beta=94.50 gamma=90.00
Space group P2_1/m (No. 11)
One atom of each set of equivalent atoms:
Zr (0.0602, 0.2500, 0.3755) (multiplicity 2)
Cd (0.2473, 0.2500, 0.0106) (multiplicity 2)
Cd (0.3470, 0.7500, 0.8045) (multiplicity 2)
Cd (0.4508, 0.2500, 0.6011) (multiplicity 2)
Pd (0.0520, 0.7500, 0.9052) (multiplicity 2)
Pd (0.1450, 0.2500, 0.6947) (multiplicity 2)
Pd (0.1492, 0.7500, 0.2081) (multiplicity 2)
Pd (0.2391, 0.7500, 0.5024) (multiplicity 2)
Pd (0.3546, 0.2500, 0.3021) (multiplicity 2)
Pd (0.4507, 0.7500, 0.1015) (multiplicity 2)

Main lines, in order of rising 2θ (5 to 70 degrees two-theta):
h k l	2θ (°)	I_rel
1 1 3	38.04	100
3 1 -1	38.15	100
2 0 -4	42.43	35
0 2 0	43.05	36
4 0 2	47.22	27
2 1 -4	47.87	1
2 2 -4	62.04	22
2 0 6	65.18	9
6 0 -2	65.49	9
4 2 2	65.79	19



Record 10
This entry pairs a crystal structure of Zr4CdPd12 with its simulated X-ray powder pattern. Radiation: a wavelength of 1.5418 Å. Structure: the GGA-PBE geometry in Alexandria.
Lines closer than 0.1° are merged.

Structural model:
Unit cell a=8.3890 b=8.3890 c=8.3890 alpha=90.00 beta=90.00 gamma=90.00
Space group Im-3m (No. 229)
One atom of each set of equivalent atoms:
Zr (0.2500, 0.2500, 0.2500) (multiplicity 8)
Cd (0.0000, 0.0000, 0.0000) (multiplicity 2)
Pd (0.0000, 0.0000, 0.3007) (multiplicity 12)
Pd (0.0000, 0.2500, 0.5000) (multiplicity 12)

Main lines, in order of rising 2θ (5 to 70 degrees two-theta):
h k l	2θ (°)	I_rel
2 0 0	21.18	7
2 2 0	30.13	3
3 1 0	33.79	10
2 2 2	37.13	100
3 2 1	40.22	17
4 0 0	43.13	64
3 3 0	45.89	11
3 3 2	51.07	15
4 4 0	62.64	34
4 3 3	64.80	3



Record 11
This entry pairs a crystal structure of Zr2CdPd7 with its simulated X-ray powder pattern. Radiation: a wavelength of 1.5418 Å. Structure: the GGA-PBE geometry in Alexandria.
Lines closer than 0.1° are merged.

Structural model:
Unit cell a=7.1694 b=14.0691 c=4.2052 alpha=90.00 beta=90.00 gamma=90.00
Space group Cmmm (No. 65)
One atom of each set of equivalent atoms:
Zr (0.0000, 0.1965, 0.0000) (multiplicity 4)
Cd (0.0000, 0.5000, 0.5000) (multiplicity 2)
Pd (0.0000, 0.0000, 0.0000) (multiplicity 2)
Pd (0.0000, 0.3054, 0.5000) (multiplicity 4)
Pd (0.1870, 0.3953, 0.0000) (multiplicity 8)

Main lines, in order of rising 2θ (5 to 70 degrees two-theta):
h k l	2θ (°)	I_rel
1 1 0	13.86	27
0 0 1	21.13	36
1 1 1	25.36	30
0 4 1	33.21	21
2 4 0	35.77	37
1 5 1	40.58	100
0 0 2	43.02	38
3 1 1	44.06	58
2 6 0	46.27	21
2 4 2	57.14	19



Record 12
This entry pairs a crystal structure of Pm5Cd2 with its simulated X-ray powder pattern. Radiation: a wavelength of 1.5418 Å. Structure: the GGA-PBE geometry in Alexandria.
Lines closer than 0.1° are merged.

Structural model:
Unit cell a=9.5778 b=5.5344 c=8.7572 alpha=90.00 beta=111.46 gamma=90.00
Space group C2/m (No. 12)
One atom of each set of equivalent atoms:
Pm (0.0000, 0.0000, 0.0000) (multiplicity 2)
Pm (0.0745, 0.5000, 0.7240) (multiplicity 4)
Pm (0.1578, 0.0000, 0.4736) (multiplicity 4)
Cd (0.2110, 0.5000, 0.1333) (multiplicity 4)

Main lines, in order of rising 2θ (5 to 70 degrees two-theta):
h k l	2θ (°)	I_rel
1 1 -2	26.04	8
1 1 2	31.70	91
0 2 0	32.37	100
4 0 1	45.94	33
2 0 4	56.05	19
4 2 1	57.31	33
6 0 -2	57.73	19
2 2 4	66.23	7
3 1 4	66.59	4
0 4 0	67.76	12